Record 1
This entry pairs a crystal structure of MgVPO5 with its theoretical X-ray powder pattern. Radiation: Cu Kα (λ = 1.5418 Å). Structure: a PBE+U-relaxed structure.

Structural model:
Lattice parameters (Å, degrees): 5.291 5.586 7.117 107.07 107.04 97.29
Fractional coordinates of all 16 atoms:
Mg 0.249 0.381 0.247
Mg 0.751 0.619 0.753
V 0.500 0.000 0.000
V 0.500 0.000 0.500
P 0.172 0.383 0.760
P 0.828 0.617 0.240
O 0.132 0.727 0.379
O 0.174 0.674 0.853
O 0.256 0.269 0.937
O 0.364 0.345 0.629
O 0.403 0.085 0.249
O 0.597 0.915 0.751
O 0.636 0.655 0.371
O 0.744 0.731 0.063
O 0.826 0.326 0.147
O 0.868 0.273 0.621

The 6 most intense peaks (5 to 70 degrees two-theta), by angle:
d (Å)  Position (°2θ)  intensity  index
4.920  18.03  40  1 0 0
3.273  27.24  97  0 1 -2
3.240  27.53  51  1 0 -2
3.217  27.73  100  1 1 0
2.555  35.12  48  1 -2 0
1.730  52.91  32  0 3 0

=====

Record 2
This entry pairs a crystal structure of ZrCrCd2O6 with its theoretical X-ray powder pattern. Radiation: Cu Kα (λ = 1.5418 Å). Structure: a PBE+U-relaxed structure.

Structural model:
Lattice parameters (Å, degrees): 5.609 5.609 4.338 90.00 90.00 90.00
Fractional coordinates of all 10 atoms:
Zr 0.000 0.000 0.000
Cr 0.500 0.500 0.995
Cd 0.000 0.500 0.382
Cd 0.500 0.000 0.382
O 0.000 0.000 0.542
O 0.261 0.261 0.087
O 0.261 0.739 0.087
O 0.500 0.500 0.593
O 0.739 0.261 0.087
O 0.739 0.739 0.087

The 6 most intense peaks (5 to 70 degrees two-theta), by angle:
d (Å)  Position (°2θ)  intensity  index
4.338  20.47  19  0 0 1
2.927  30.54  100  1 1 1
2.804  31.91  47  2 0 0
1.983  45.75  31  2 2 0
1.903  47.80  21  1 1 2
1.642  56.01  35  3 1 1